Entry 1:
For La2NiSn4, a crystal structure in the Materials Project, relaxed with GGA-PBE gives the computed X-ray powder pattern in this record (Cu Kα).
Intensities are scaled so that the largest is 100.

Cell and atoms:
abc: 4.5291 9.2091 9.2091
angles: 28.61 90.00 90.00
Atoms (fractional coordinates):
La 0.0000 0.0000 0.0000
La 0.5000 0.2116 0.2116
Ni 0.0000 0.7946 0.7946
Sn 0.0000 0.3650 0.3650
Sn 0.0000 0.6543 0.6543
Sn 0.5000 0.5512 0.5512
Sn 0.5000 0.8628 0.8628

Main lines, most intense first (2θ = 15–90°):
- 2θ 31.67, 2.825 Å, rel. 100
- 2θ 39.61, 2.275 Å, rel. 21
- 2θ 39.81, 2.265 Å, rel. 21
- 2θ 36.13, 2.486 Å, rel. 18
- 2θ 57.41, 1.605 Å, rel. 14
- 2θ 30.04, 2.975 Å, rel. 13
- 2θ 66.93, 1.398 Å, rel. 12
- 2θ 67.20, 1.393 Å, rel. 12

Entry 2:
For LaNi2Sn2, a crystal structure in the Materials Project, relaxed with GGA-PBE gives the computed X-ray powder pattern in this record (Cu Kα).
Intensities are scaled so that the largest is 100.

Cell and atoms:
abc: 6.1325 6.1325 6.1325
angles: 137.14 137.14 62.23
Atoms (fractional coordinates):
La 0.0000 0.0000 0.0000
Ni 0.2500 0.7500 0.5000
Ni 0.7500 0.2500 0.5000
Sn 0.3620 0.3620 0.0000
Sn 0.6380 0.6380 0.0000

Main lines, most intense first (2θ = 15–90°):
- 2θ 32.46, 2.759 Å, rel. 100
- 2θ 40.25, 2.241 Å, rel. 61
- 2θ 52.62, 1.739 Å, rel. 52
- 2θ 33.02, 2.713 Å, rel. 42
- 2θ 28.16, 3.169 Å, rel. 37
- 2θ 58.23, 1.584 Å, rel. 21
- 2θ 60.43, 1.532 Å, rel. 20
- 2θ 44.83, 2.022 Å, rel. 17

Entry 3:
For La3Ni2Sn7, a crystal structure in the Materials Project, relaxed with GGA-PBE gives the computed X-ray powder pattern in this record (Cu Kα).
Intensities are scaled so that the largest is 100.

Cell and atoms:
abc: 14.0925 14.0925 4.6542
angles: 90.00 90.00 160.98
Atoms (fractional coordinates):
La 0.0000 0.0000 0.0000
La 0.3157 0.6843 0.5000
La 0.6843 0.3157 0.5000
Ni 0.1280 0.8720 0.0000
Ni 0.8720 0.1280 0.0000
Sn 0.0892 0.9108 0.5000
Sn 0.2185 0.7815 0.0000
Sn 0.4106 0.5894 0.0000
Sn 0.5000 0.5000 0.5000
Sn 0.5894 0.4106 0.0000
Sn 0.7815 0.2185 0.0000
Sn 0.9108 0.0892 0.5000

Main lines, most intense first (2θ = 15–90°):
- 2θ 31.59, 2.832 Å, rel. 100
- 2θ 38.69, 2.328 Å, rel. 49
- 2θ 65.60, 1.423 Å, rel. 26
- 2θ 32.18, 2.781 Å, rel. 22
- 2θ 51.18, 1.785 Å, rel. 21
- 2θ 55.86, 1.646 Å, rel. 17
- 2θ 63.53, 1.464 Å, rel. 11
- 2θ 35.42, 2.534 Å, rel. 10

Entry 4:
For LaNi5Sn, a crystal structure in the Materials Project, relaxed with GGA-PBE gives the computed X-ray powder pattern in this record (Cu Kα).
Intensities are scaled so that the largest is 100.

Cell and atoms:
abc: 4.9499 4.9499 19.8765
angles: 90.00 90.00 120.00
Atoms (fractional coordinates):
La 0.0000 0.0000 0.0000
La 0.0000 0.0000 0.5000
La 0.3333 0.6667 0.2500
La 0.6667 0.3333 0.7500
Ni 0.0000 0.0000 0.2500
Ni 0.0000 0.0000 0.7500
Ni 0.1652 0.3304 0.6460
Ni 0.1652 0.3304 0.8540
Ni 0.1652 0.8348 0.6460
Ni 0.1652 0.8348 0.8540
Ni 0.3304 0.1652 0.1460
Ni 0.3304 0.1652 0.3540
Ni 0.3333 0.6667 0.5439
Ni 0.3333 0.6667 0.7500
Ni 0.3333 0.6667 0.9561
Ni 0.6667 0.3333 0.0439
Ni 0.6667 0.3333 0.2500
Ni 0.6667 0.3333 0.4561
Ni 0.6696 0.8348 0.6460
Ni 0.6696 0.8348 0.8540
Ni 0.8348 0.1652 0.1460
Ni 0.8348 0.1652 0.3540
Ni 0.8348 0.6696 0.1460
Ni 0.8348 0.6696 0.3540
Sn 0.3333 0.6667 0.0876
Sn 0.3333 0.6667 0.4124
Sn 0.6667 0.3333 0.5876
Sn 0.6667 0.3333 0.9124

Main lines, most intense first (2θ = 15–90°):
- 2θ 36.30, 2.475 Å, rel. 100
- 2θ 34.21, 2.621 Å, rel. 68
- 2θ 40.73, 2.215 Å, rel. 64
- 2θ 45.76, 1.983 Å, rel. 56
- 2θ 42.42, 2.131 Å, rel. 52
- 2θ 38.01, 2.367 Å, rel. 43
- 2θ 77.06, 1.238 Å, rel. 36
- 2θ 63.94, 1.456 Å, rel. 31

Entry 5:
For La2ZnNi2, a crystal structure in the Materials Project, relaxed with GGA-PBE gives the computed X-ray powder pattern in this record (Cu Kα).
Intensities are scaled so that the largest is 100.

Cell and atoms:
abc: 5.5196 5.5196 5.5196
angles: 133.15 119.82 79.56
Atoms (fractional coordinates):
La 0.1992 0.1992 0.0000
La 0.8008 0.8008 0.0000
Zn 0.5000 0.0000 0.5000
Ni 0.2422 0.5000 0.7422
Ni 0.7578 0.5000 0.2578

Main lines, most intense first (2θ = 15–90°):
- 2θ 33.55, 2.671 Å, rel. 100
- 2θ 39.96, 2.256 Å, rel. 57
- 2θ 25.91, 3.439 Å, rel. 42
- 2θ 35.65, 2.518 Å, rel. 40
- 2θ 41.13, 2.195 Å, rel. 36
- 2θ 37.85, 2.377 Å, rel. 32
- 2θ 68.27, 1.374 Å, rel. 31
- 2θ 38.86, 2.318 Å, rel. 29

Entry 6:
For LaZnNi, a crystal structure in the Materials Project, relaxed with GGA-PBE gives the computed X-ray powder pattern in this record (Cu Kα).
Intensities are scaled so that the largest is 100.

Cell and atoms:
abc: 7.2666 7.2666 3.9427
angles: 90.00 90.00 120.00
Atoms (fractional coordinates):
La 0.0000 0.5839 0.0000
La 0.4161 0.4161 0.0000
La 0.5839 0.0000 0.0000
Zn 0.0000 0.2289 0.5000
Zn 0.2289 0.0000 0.5000
Zn 0.7711 0.7711 0.5000
Ni 0.0000 0.0000 0.0000
Ni 0.3333 0.6667 0.5000
Ni 0.6667 0.3333 0.5000

Main lines, most intense first (2θ = 15–90°):
- 2θ 33.54, 2.672 Å, rel. 100
- 2θ 36.54, 2.459 Å, rel. 98
- 2θ 37.82, 2.379 Å, rel. 55
- 2θ 57.77, 1.596 Å, rel. 33
- 2θ 61.05, 1.518 Å, rel. 26
- 2θ 46.04, 1.971 Å, rel. 26
- 2θ 69.31, 1.356 Å, rel. 21
- 2θ 28.36, 3.147 Å, rel. 18

Entry 7:
For LaZn3Ni2, a crystal structure in the Materials Project, relaxed with GGA-PBE gives the computed X-ray powder pattern in this record (Cu Kα).
Intensities are scaled so that the largest is 100.

Cell and atoms:
abc: 5.2575 5.2575 4.1132
angles: 90.00 90.00 120.00
Atoms (fractional coordinates):
La 0.0000 0.0000 0.0000
Zn 0.0000 0.5000 0.5000
Zn 0.5000 0.0000 0.5000
Zn 0.5000 0.5000 0.5000
Ni 0.3333 0.6667 0.0000
Ni 0.6667 0.3333 0.0000

Main lines, most intense first (2θ = 15–90°):
- 2θ 40.73, 2.215 Å, rel. 100
- 2θ 29.26, 3.052 Å, rel. 44
- 2θ 39.59, 2.277 Å, rel. 39
- 2θ 34.11, 2.629 Å, rel. 27
- 2θ 44.03, 2.057 Å, rel. 27
- 2θ 65.56, 1.424 Å, rel. 23
- 2θ 60.68, 1.526 Å, rel. 21
- 2θ 71.84, 1.314 Å, rel. 21

Entry 8:
For LaZn2Ni3, a crystal structure in the Materials Project, relaxed with GGA-PBE gives the computed X-ray powder pattern in this record (Cu Kα).
Intensities are scaled so that the largest is 100.

Cell and atoms:
abc: 5.2420 5.2420 3.9074
angles: 90.00 90.00 120.00
Atoms (fractional coordinates):
La 0.0000 0.0000 0.0000
Zn 0.3333 0.6667 0.0000
Zn 0.6667 0.3333 0.0000
Ni 0.0000 0.5000 0.5000
Ni 0.5000 0.0000 0.5000
Ni 0.5000 0.5000 0.5000

Main lines, most intense first (2θ = 15–90°):
- 2θ 41.49, 2.177 Å, rel. 100
- 2θ 30.18, 2.961 Å, rel. 34
- 2θ 34.21, 2.621 Å, rel. 33
- 2θ 39.71, 2.270 Å, rel. 32
- 2θ 66.23, 1.411 Å, rel. 24
- 2θ 46.48, 1.954 Å, rel. 23
- 2θ 72.07, 1.310 Å, rel. 17
- 2θ 62.75, 1.481 Å, rel. 16

Entry 9:
For LaNp3, a crystal structure in the Materials Project, relaxed with GGA-PBE gives the computed X-ray powder pattern in this record (Cu Kα).
Intensities are scaled so that the largest is 100.

Cell and atoms:
abc: 4.5676 4.5676 4.5676
angles: 90.00 90.00 90.00
Atoms (fractional coordinates):
La 0.0000 0.0000 0.0000
Np 0.0000 0.5000 0.5000
Np 0.5000 0.0000 0.5000
Np 0.5000 0.5000 0.0000

Main lines, most intense first (2θ = 15–90°):
- 2θ 34.00, 2.637 Å, rel. 100
- 2θ 39.46, 2.284 Å, rel. 50
- 2θ 68.08, 1.377 Å, rel. 42
- 2θ 57.03, 1.615 Å, rel. 35
- 2θ 71.56, 1.319 Å, rel. 12
- 2θ 84.93, 1.142 Å, rel. 6
- 2θ 19.43, 4.568 Å, rel. 4
- 2θ 27.62, 3.230 Å, rel. 3

Entry 10:
For La2O3, a crystal structure in the Materials Project, relaxed with GGA-PBE gives the computed X-ray powder pattern in this record (Cu Kα).
Intensities are scaled so that the largest is 100.

Cell and atoms:
abc: 6.3703 6.3703 3.2899
angles: 90.00 90.00 120.00
Atoms (fractional coordinates):
La 0.3333 0.6667 0.0019
La 0.6667 0.3333 0.9981
O 0.0000 0.5046 0.5000
O 0.4954 0.4954 0.5000
O 0.5046 0.0000 0.5000

Main lines, most intense first (2θ = 15–90°):
- 2θ 16.07, 5.517 Å, rel. 100
- 2θ 39.37, 2.288 Å, rel. 73
- 2θ 28.01, 3.185 Å, rel. 71
- 2θ 57.41, 1.605 Å, rel. 24
- 2θ 42.78, 2.114 Å, rel. 23
- 2θ 31.67, 2.826 Å, rel. 23
- 2θ 27.10, 3.290 Å, rel. 19
- 2θ 43.40, 2.085 Å, rel. 15

Entry 11:
For La2O3, a crystal structure in the Materials Project, relaxed with GGA-PBE gives the computed X-ray powder pattern in this record (Cu Kα).
Intensities are scaled so that the largest is 100.

Cell and atoms:
abc: 3.9383 3.9383 6.1803
angles: 90.00 90.00 120.00
Atoms (fractional coordinates):
La 0.3333 0.6667 0.2471
La 0.6667 0.3333 0.7529
O 0.0000 0.0000 0.0000
O 0.3333 0.6667 0.6454
O 0.6667 0.3333 0.3546

Main lines, most intense first (2θ = 15–90°):
- 2θ 29.92, 2.986 Å, rel. 100
- 2θ 46.10, 1.969 Å, rel. 34
- 2θ 26.13, 3.411 Å, rel. 29
- 2θ 51.85, 1.763 Å, rel. 28
- 2θ 28.89, 3.090 Å, rel. 28
- 2θ 55.32, 1.661 Å, rel. 27
- 2θ 39.34, 2.290 Å, rel. 27
- 2θ 55.93, 1.644 Å, rel. 18

Entry 12:
For La2O3, a crystal structure in the Materials Project, relaxed with GGA-PBE gives the computed X-ray powder pattern in this record (Cu Kα).
Intensities are scaled so that the largest is 100.

Cell and atoms:
abc: 9.8743 9.8743 9.8743
angles: 109.47 109.47 109.47
Atoms (fractional coordinates):
La 0.0000 0.0000 0.5000
La 0.0000 0.5000 0.0000
La 0.0290 0.7500 0.7790
La 0.2210 0.9710 0.2500
La 0.2500 0.2210 0.9710
La 0.2500 0.7210 0.4710
La 0.2790 0.5290 0.7500
La 0.4710 0.2500 0.7210
La 0.5000 0.0000 0.0000
La 0.5000 0.5000 0.5000
La 0.5290 0.7500 0.2790
La 0.7210 0.4710 0.2500
La 0.7500 0.2790 0.5290
La 0.7500 0.7790 0.0290
La 0.7790 0.0290 0.7500
La 0.9710 0.2500 0.2210
O 0.0105 0.0372 0.2694
O 0.0267 0.4895 0.7589
O 0.0372 0.2694 0.0105
O 0.2306 0.2678 0.7411
O 0.2322 0.4628 0.4733
O 0.2411 0.9733 0.5105
O 0.2589 0.7694 0.7322
O 0.2678 0.7411 0.2306
O 0.2694 0.0105 0.0372
O 0.4628 0.4733 0.2322
O 0.4733 0.2322 0.4628
O 0.4895 0.7589 0.0267
O 0.5105 0.2411 0.9733
O 0.5267 0.7678 0.5372
O 0.5372 0.5267 0.7678
O 0.7306 0.9895 0.9628
O 0.7322 0.2589 0.7694
O 0.7411 0.2306 0.2678
O 0.7589 0.0267 0.4895
O 0.7678 0.5372 0.5267
O 0.7694 0.7322 0.2589
O 0.9628 0.7306 0.9895
O 0.9733 0.5105 0.2411
O 0.9895 0.9628 0.7306

Main lines, most intense first (2θ = 15–90°):
- 2θ 27.09, 3.291 Å, rel. 100
- 2θ 44.97, 2.016 Å, rel. 43
- 2θ 53.29, 1.719 Å, rel. 35
- 2θ 31.38, 2.850 Å, rel. 33
- 2θ 72.23, 1.308 Å, rel. 10
- 2θ 19.07, 4.655 Å, rel. 9
- 2θ 74.42, 1.275 Å, rel. 7
- 2θ 82.98, 1.164 Å, rel. 7